1.
This entry pairs a crystal structure of PmMgInCl6 with its computed X-ray powder pattern. Radiation: Cu Kα X-rays. Structure: a structure optimized by DFT (PBE).
Neutral-atom scattering factors, no anomalous dispersion.

The 12 most intense peaks (2θ from 10° to 90°), low angle first:
12.76°, intensity 12, hkl 0 0 2; 16.14°, intensity 28, hkl 1 0 1; 19.60°, intensity 100, hkl 1 0 2; 24.33°, intensity 17, hkl 1 0 3; 25.80°, intensity 20, hkl 1 1 0; 28.88°, intensity 27, hkl 1 1 2; 32.60°, intensity 23, hkl 2 0 2; 36.73°, intensity 68, hkl 1 1 4; 42.03°, intensity 28, hkl 2 1 2; 45.49°, intensity 25, hkl 3 0 0; 57.08°, intensity 13, hkl 4 -1 2; 59.83°, intensity 14, hkl 4 -2 4

Structure:
Cell lengths 6.9075, 6.9075, 13.8700 Å; angles 90.00, 90.00, 120.00 degrees
Space group P-31c (No. 163)
Asymmetric unit:
Pm  0.3333  0.6667  0.2500 x2
Mg  0.3333  0.6667  0.7500 x2
In  0.0000  0.0000  0.0000 x2
Cl  0.0212  0.3827  0.6431 x12


2.
This entry pairs a crystal structure of K4Pu3MgO12 with its computed X-ray powder pattern. Radiation: Cu Kα X-rays. Structure: a structure optimized by DFT (PBE).
Neutral-atom scattering factors, no anomalous dispersion.

The 12 most intense peaks (2θ from 10° to 90°), low angle first:
14.83°, intensity 35, hkl 1 1 0; 21.03°, intensity 68, hkl 2 0 0; 25.83°, intensity 19, hkl 2 1 1; 29.91°, intensity 100, hkl 2 2 0; 39.93°, intensity 11, hkl 3 2 1; 42.82°, intensity 32, hkl 4 0 0; 48.17°, intensity 33, hkl 4 2 0; 53.11°, intensity 41, hkl 4 2 2; 62.16°, intensity 20, hkl 4 4 0; 66.39°, intensity 16, hkl 6 0 0; 70.50°, intensity 18, hkl 6 2 0; 86.14°, intensity 22, hkl 6 4 2

Structure:
Cell lengths 8.4483, 8.4483, 8.4483 Å; angles 90.00, 90.00, 90.00 degrees
Space group Im-3m (No. 229)
Asymmetric unit:
K  0.2500  0.2500  0.2500 x8
Pu  0.0000  0.0000  0.5000 x6
Mg  0.0000  0.0000  0.0000 x2
O  0.0000  0.0000  0.2661 x12
O  0.0000  0.2500  0.5000 x12


3.
This entry pairs a crystal structure of Rb2H5Ir with its computed X-ray powder pattern. Radiation: Cu Kα X-rays. Structure: a structure optimized by DFT (PBE).
Neutral-atom scattering factors, no anomalous dispersion.

The 12 most intense peaks (2θ from 10° to 90°), low angle first:
18.33°, intensity 98, hkl 1 0 1; 28.95°, intensity 57, hkl 2 0 0; 30.73°, intensity 100, hkl 1 1 2; 34.48°, intensity 40, hkl 2 1 1; 37.50°, intensity 16, hkl 1 0 3; 41.40°, intensity 23, hkl 2 2 0; 48.06°, intensity 16, hkl 2 1 3; 52.44°, intensity 44, hkl 3 1 2; 54.94°, intensity 11, hkl 3 2 1; 55.72°, intensity 18, hkl 2 0 4; 64.01°, intensity 12, hkl 2 2 4; 83.69°, intensity 12, hkl 5 1 2

Structure:
Cell lengths 6.1685, 6.1685, 7.8093 Å; angles 90.00, 90.00, 90.00 degrees
Space group I4mm (No. 107)
Asymmetric unit:
Rb  0.0000  0.5000  0.0000 x4
H  0.0000  0.0000  0.0494 x2
H  0.1944  0.1944  0.2490 x8
Ir  0.0000  0.0000  0.2482 x2


4.
This entry pairs a crystal structure of FeAsW2 with its computed X-ray powder pattern. Radiation: Cu Kα X-rays. Structure: a structure optimized by DFT (PBE).
Neutral-atom scattering factors, no anomalous dispersion.

The 12 most intense peaks (2θ from 10° to 90°), low angle first:
23.00°, intensity 11, hkl 0 1 1; 31.01°, intensity 14, hkl 1 0 1; 37.42°, intensity 16, hkl 0 1 3; 41.64°, intensity 17, hkl 0 0 4; 41.77°, intensity 100, hkl 0 2 0; 52.97°, intensity 7, hkl 1 2 1; 60.52°, intensity 18, hkl 2 0 0; 73.43°, intensity 7, hkl 2 1 3; 76.07°, intensity 9, hkl 1 1 6; 76.18°, intensity 6, hkl 2 0 4; 76.33°, intensity 20, hkl 2 2 0; 77.10°, intensity 6, hkl 1 2 5

Structure:
Cell lengths 3.0581, 4.3187, 8.6760 Å; angles 90.00, 90.00, 90.00 degrees
Space group Imm2 (No. 44)
Asymmetric unit:
Fe  0.0000  0.0000  0.0000 x2
As  0.0000  0.5000  0.2879 x2
W  0.0000  0.0000  0.5377 x2
W  0.0000  0.5000  0.7550 x2